Computed powder X-ray diffraction pattern
Compound: Ca4Mg3FeSi8O24
Radiation: Cu Kα
Structure: a PBE+U-relaxed structure
Kinematic intensities with the Lorentz-polarization factor, no thermal factor.

Crystal structure
```
data_Ca4Mg3FeSi8O24
_cell_length_a 5.3224
_cell_length_b 6.7116
_cell_length_c 13.3984
_cell_angle_alpha 90.40
_cell_angle_beta 101.16
_cell_angle_gamma 101.73
_symmetry_space_group_name_H-M 'P 1'
_symmetry_Int_Tables_number 1
loop_
_symmetry_equiv_pos_as_xyz
'x,y,z'
loop_
_atom_site_label
_atom_site_type_symbol
_atom_site_fract_x
_atom_site_fract_y
_atom_site_fract_z
Ca1 Ca 0.0000 0.0000 0.0000
Ca2 Ca 0.2007 0.4018 0.7011
Ca3 Ca 0.4989 0.9982 0.4993
Ca4 Ca 0.7004 0.4011 0.2004
Mg1 Mg 0.3044 0.6089 0.3042
Mg2 Mg 0.3968 0.7936 0.8970
Mg3 Mg 0.8039 0.6079 0.8043
Fe1 Fe 0.8966 0.7941 0.3968
Si1 Si 0.0596 0.5075 0.0403
Si2 Si 0.1416 0.8952 0.6619
Si3 Si 0.2353 0.0821 0.2529
Si4 Si 0.4664 0.3212 0.9472
Si5 Si 0.5588 0.5063 0.5412
Si6 Si 0.6406 0.8945 0.1599
Si7 Si 0.7341 0.0808 0.7539
Si8 Si 0.9675 0.3224 0.4478
O1 O 0.0599 0.6724 0.9523
O2 O 0.0852 0.5860 0.1560
O3 O 0.1177 0.8154 0.5467
O4 O 0.1408 0.7292 0.7493
O5 O 0.2367 0.9063 0.3352
O6 O 0.2693 0.3329 0.5176
O7 O 0.2864 0.3678 0.0338
O8 O 0.3372 0.0897 0.9078
O9 O 0.3637 0.3131 0.2928
O10 O 0.4145 0.0349 0.1663
O11 O 0.4311 0.0683 0.6843
O12 O 0.4723 0.4972 0.8647
O13 O 0.5512 0.6701 0.4531
O14 O 0.5857 0.5855 0.6568
O15 O 0.6153 0.8162 0.0443
O16 O 0.6374 0.7263 0.2463
O17 O 0.7283 0.9045 0.8362
O18 O 0.7697 0.3341 0.0169
O19 O 0.7874 0.3689 0.5341
O20 O 0.8358 0.0919 0.4080
O21 O 0.8635 0.3122 0.7931
O22 O 0.9139 0.0342 0.6672
O23 O 0.9308 0.0675 0.1840
O24 O 0.9722 0.4939 0.3631
```

The 10 most intense peaks (10° ≤ 2θ ≤ 90°), in order of rising 2θ:
2θ (°), d_spacing, I (rel.)
27.17, 3.282, 22
29.41, 3.037, 100
29.84, 2.994, 31
30.42, 2.939, 28
34.43, 2.605, 28
35.08, 2.558, 41
35.18, 2.551, 41
41.70, 2.166, 21
55.83, 1.647, 18
64.60, 1.443, 20


Computed powder X-ray diffraction pattern
Compound: Ca2MgFeSi4O12
Radiation: Cu Kα
Structure: a PBE+U-relaxed structure
Kinematic intensities with the Lorentz-polarization factor, no thermal factor.

Crystal structure
```
data_Ca2MgFeSi4O12
_cell_length_a 5.3311
_cell_length_b 9.0945
_cell_length_c 9.9070
_cell_angle_alpha 90.17
_cell_angle_beta 105.35
_cell_angle_gamma 90.05
_symmetry_space_group_name_H-M 'P 1'
_symmetry_Int_Tables_number 1
loop_
_symmetry_equiv_pos_as_xyz
'x,y,z'
loop_
_atom_site_label
_atom_site_type_symbol
_atom_site_fract_x
_atom_site_fract_y
_atom_site_fract_z
Ca1 Ca 0.0000 0.0000 0.0000
Ca2 Ca 0.9997 0.0963 0.5008
Ca3 Ca 0.4966 0.5000 0.5010
Ca4 Ca 0.4993 0.5968 0.0003
Mg1 Mg 0.4999 0.8893 0.5002
Mg2 Mg 0.9992 0.3893 0.0008
Fe1 Fe 0.4995 0.2041 0.0007
Fe2 Fe 0.9990 0.7033 0.5001
Si1 Si 0.1964 0.3878 0.7149
Si2 Si 0.1965 0.7037 0.2123
Si3 Si 0.3023 0.2038 0.2887
Si4 Si 0.3031 0.8874 0.7866
Si5 Si 0.6948 0.8892 0.2136
Si6 Si 0.6964 0.2033 0.7127
Si7 Si 0.8023 0.7031 0.7883
Si8 Si 0.8041 0.3891 0.2875
O1 O 0.1002 0.3137 0.3521
O2 O 0.0999 0.7786 0.8491
O3 O 0.2077 0.5489 0.1358
O4 O 0.2135 0.2090 0.1192
O5 O 0.2137 0.5425 0.6406
O6 O 0.2232 0.8846 0.6164
O7 O 0.2752 0.3862 0.8849
O8 O 0.2862 0.7090 0.3819
O9 O 0.2882 0.0422 0.8619
O10 O 0.2909 0.0494 0.3651
O11 O 0.3984 0.8132 0.1487
O12 O 0.3986 0.2779 0.6521
O13 O 0.5995 0.2803 0.3490
O14 O 0.6001 0.8131 0.8515
O15 O 0.7071 0.0485 0.6359
O16 O 0.7086 0.0431 0.1368
O17 O 0.7144 0.7094 0.6188
O18 O 0.7254 0.3888 0.1178
O19 O 0.7719 0.8897 0.3831
O20 O 0.7850 0.2096 0.8822
O21 O 0.7914 0.5438 0.3643
O22 O 0.7916 0.5488 0.8650
O23 O 0.8991 0.3129 0.6497
O24 O 0.8993 0.7794 0.1524
```

The 10 most intense peaks (10° ≤ 2θ ≤ 90°), in order of rising 2θ:
2θ (°), d_spacing, I (rel.)
27.07, 3.294, 19
29.34, 3.044, 100
29.72, 3.006, 34
30.35, 2.945, 21
34.34, 2.611, 30
34.99, 2.564, 63
35.07, 2.558, 22
51.12, 1.787, 16
55.73, 1.650, 21
60.62, 1.528, 14


Computed powder X-ray diffraction pattern
Compound: Ca4MnFe3O10
Radiation: Cu Kα
Structure: a PBE+U-relaxed structure
Kinematic intensities with the Lorentz-polarization factor, no thermal factor.

Crystal structure
```
data_Ca4MnFe3O10
_cell_length_a 5.6324
_cell_length_b 5.4407
_cell_length_c 16.1978
_cell_angle_alpha 90.00
_cell_angle_beta 110.27
_cell_angle_gamma 90.00
_symmetry_space_group_name_H-M 'P 1'
_symmetry_Int_Tables_number 1
loop_
_symmetry_equiv_pos_as_xyz
'x,y,z'
loop_
_atom_site_label
_atom_site_type_symbol
_atom_site_fract_x
_atom_site_fract_y
_atom_site_fract_z
Ca1 Ca 0.0843 0.0232 0.1092
Ca2 Ca 0.0843 0.4768 0.6092
Ca3 Ca 0.3661 0.0203 0.3909
Ca4 Ca 0.3661 0.4797 0.8909
Ca5 Ca 0.6339 0.5203 0.1091
Ca6 Ca 0.6339 0.9797 0.6091
Ca7 Ca 0.9157 0.5232 0.3908
Ca8 Ca 0.9157 0.9768 0.8908
Mn1 Mn 0.0000 0.0000 0.5000
Mn2 Mn 0.0000 0.5000 0.0000
Fe1 Fe 0.3164 0.5515 0.2523
Fe2 Fe 0.3164 0.9485 0.7523
Fe3 Fe 0.5000 0.0000 0.0000
Fe4 Fe 0.5000 0.5000 0.5000
Fe5 Fe 0.6836 0.0515 0.2477
Fe6 Fe 0.6836 0.4485 0.7477
O1 O 0.0656 0.0362 0.6479
O2 O 0.0656 0.4638 0.1479
O3 O 0.2457 0.7347 0.5155
O4 O 0.2457 0.7653 0.0155
O5 O 0.2802 0.2309 0.5160
O6 O 0.2802 0.2691 0.0160
O7 O 0.2949 0.0268 0.8635
O8 O 0.2949 0.4732 0.3635
O9 O 0.3676 0.5906 0.7498
O10 O 0.3676 0.9094 0.2498
O11 O 0.6324 0.0906 0.7502
O12 O 0.6324 0.4094 0.2502
O13 O 0.7051 0.5268 0.6365
O14 O 0.7051 0.9732 0.1365
O15 O 0.7198 0.7309 0.9840
O16 O 0.7198 0.7691 0.4840
O17 O 0.7543 0.2347 0.9845
O18 O 0.7543 0.2653 0.4845
O19 O 0.9344 0.5362 0.8521
O20 O 0.9344 0.9638 0.3521
```

The 10 most intense peaks (10° ≤ 2θ ≤ 90°), in order of rising 2θ:
2θ (°), d_spacing, I (rel.)
22.72, 3.913, 9
31.77, 2.816, 25
32.88, 2.724, 100
33.50, 2.675, 8
42.52, 2.126, 9
46.41, 1.957, 26
47.89, 1.899, 14
57.30, 1.608, 13
58.75, 1.572, 11
68.90, 1.363, 10